Record 1
The following is a theoretical powder X-ray diffraction pattern of PuTa4O12. It was derived from a structure optimized by DFT (PBE), using Cu Kα X-rays.
No peak broadening, texture or thermal motion is included.

Atomic structure:
```
data_PuTa4O12
_space_group_name_H-M_alt 'I m m m'
_space_group_IT_number 71
_space_group_name_Hall '-I 2 2'
_cell_length_a 7.6919
_cell_length_b 7.8665
_cell_length_c 7.8737
_cell_angle_alpha 90.00
_cell_angle_beta 90.00
_cell_angle_gamma 90.00
loop_
_atom_site_label
_atom_site_fract_x
_atom_site_fract_y
_atom_site_fract_z
Pu1 0.0000 0.0000 0.0000
Ta1 0.2500 0.2500 0.2500
O1 0.0000 0.2836 0.2827
O2 0.1972 0.0000 0.2389
O3 0.1979 0.2376 0.0000
```

Principal peaks in the range 2θ = 10–90°, in order of rising 2θ:
index  Position (°2θ)  Rel. int.
0 1 1  15.9  22
1 1 0  16.1  41
0 2 0  22.6  48
2 0 0  23.1  21
1 1 2  27.9  19
0 2 2  32.2  50
2 2 0  32.6  100
0 0 4  46.1  30
2 4 2  57.6  43
4 2 2  58.3  23



Record 2
The following is a theoretical powder X-ray diffraction pattern of K4TiP2. It was derived from a structure optimized by DFT (PBE), using Cu Kα X-rays.
No peak broadening, texture or thermal motion is included.

Atomic structure:
```
data_K4TiP2
_space_group_name_H-M_alt 'I 4/m m m'
_space_group_IT_number 139
_space_group_name_Hall '-I 4 2'
_cell_length_a 6.6421
_cell_length_b 6.6421
_cell_length_c 15.5318
_cell_angle_alpha 90.00
_cell_angle_beta 90.00
_cell_angle_gamma 90.00
loop_
_atom_site_label
_atom_site_fract_x
_atom_site_fract_y
_atom_site_fract_z
K1 0.0000 0.0000 0.2361
K2 0.0000 0.5000 0.0000
Ti1 0.0000 0.0000 0.0000
P1 0.0000 0.0000 0.4331
```

Principal peaks in the range 2θ = 10–90°, in order of rising 2θ:
index  Position (°2θ)  Rel. int.
0 0 2  11.4  45
1 1 0  18.9  41
1 1 2  22.1  24
0 0 4  22.9  40
2 0 0  26.8  100
1 0 5  31.8  21
2 0 4  35.6  47
2 2 0  38.3  35
1 1 6  39.8  20
2 2 4  45.1  22



Record 3
The following is a theoretical powder X-ray diffraction pattern of HgP2RuO8. It was derived from a structure optimized by DFT (PBE), using Cu Kα X-rays.
No peak broadening, texture or thermal motion is included.

Atomic structure:
```
data_HgP2RuO8
_space_group_name_H-M_alt 'C 1 2/m 1'
_space_group_IT_number 12
_cell_length_a 8.2717
_cell_length_b 5.3186
_cell_length_c 7.5146
_cell_angle_alpha 90.00
_cell_angle_beta 96.79
_cell_angle_gamma 90.00
loop_
_space_group_symop_operation_xyz
'x,y,z'
'-x,-y,-z'
'-x,y,-z'
'x,-y,z'
'x+1/2,y+1/2,z'
'-x+1/2,-y+1/2,-z'
'-x+1/2,y+1/2,-z'
'x+1/2,-y+1/2,z'
loop_
_atom_site_label
_atom_site_fract_x
_atom_site_fract_y
_atom_site_fract_z
Hg1 0.0000 0.0000 0.0000
P1 0.1656 0.5000 0.7064
Ru1 0.0000 0.0000 0.5000
O1 0.0539 0.2612 0.6929
O2 0.2287 0.0000 0.4489
O3 0.2448 0.0000 0.1017
```

Principal peaks in the range 2θ = 10–90°, in order of rising 2θ:
index  Position (°2θ)  Rel. int.
1 1 0  19.9  100
2 0 0  21.6  37
1 1 -1  22.5  37
0 0 2  23.8  24
1 1 -2  30.2  51
2 0 -2  30.4  23
1 1 2  32.2  52
0 2 0  33.7  25
3 1 0  36.9  35
0 2 2  41.7  23



Record 4
The following is a theoretical powder X-ray diffraction pattern of Zn2Pd2Pt7. It was derived from a structure optimized by DFT (PBE), using Cu Kα X-rays.
No peak broadening, texture or thermal motion is included.

Atomic structure:
```
data_Zn2Pd2Pt7
_space_group_name_H-M_alt 'I m m m'
_space_group_IT_number 71
_space_group_name_Hall '-I 2 2'
_cell_length_a 4.6453
_cell_length_b 8.2949
_cell_length_c 9.2085
_cell_angle_alpha 90.00
_cell_angle_beta 90.00
_cell_angle_gamma 90.00
loop_
_atom_site_label
_atom_site_fract_x
_atom_site_fract_y
_atom_site_fract_z
Zn1 0.0000 0.1777 0.0000
Pd1 0.0000 0.0000 0.2388
Pt1 0.0000 0.1637 0.5000
Pt2 0.0000 0.3352 0.2395
Pt3 0.0000 0.5000 0.5000
```

Principal peaks in the range 2θ = 10–90°, in order of rising 2θ:
index  Position (°2θ)  Rel. int.
1 0 1  21.4  16
0 3 1  33.8  8
1 0 3  35.0  12
2 0 0  38.8  34
0 0 4  39.1  31
1 3 2  42.8  100
2 0 4  56.3  22
0 6 0  67.8  8
3 3 2  73.0  21
1 3 6  73.5  19